Starting from a cell relaxed with PBE, the powder X-ray diffraction pattern of BaHAu2 was computed for a wavelength of 1.5418 Å.
Neutral-atom scattering factors, no anomalous dispersion.

Structure:
```
data_BaHAu2
_chemical_formula_sum 'Ba4 H4 Au8'
_cell_length_a 6.234
_cell_length_b 6.234
_cell_length_c 8.927
_cell_angle_alpha 90.00
_cell_angle_beta 90.00
_cell_angle_gamma 90.00
_symmetry_space_group_name_H-M 'P 1'
_symmetry_Int_Tables_number 1
_symmetry_space_group_name_Hall 'P 1'
loop_
_atom_site_label
_atom_site_fract_x
_atom_site_fract_y
_atom_site_fract_z
Ba1 0.000 0.000 0.000
Ba2 0.000 0.500 0.250
Ba3 0.500 0.000 0.750
Ba4 0.500 0.500 0.500
H1 0.000 0.000 0.500
H2 0.000 0.500 0.750
H3 0.500 0.000 0.250
H4 0.500 0.500 0.000
Au1 0.004 0.750 0.625
Au2 0.250 0.004 0.375
Au3 0.250 0.496 0.875
Au4 0.496 0.750 0.125
Au5 0.504 0.250 0.125
Au6 0.750 0.504 0.875
Au7 0.750 0.996 0.375
Au8 0.996 0.250 0.625
```

Largest 8 diffraction maxima, low angle first, 10° ≤ 2θ ≤ 90°:
2θ/deg	d/Å	intensity	index
17.35	5.111	32	1 0 1
28.46	3.136	17	1 1 2
33.37	2.685	51	1 0 3
33.68	2.661	100	2 1 1
35.11	2.556	83	2 0 2
54.02	1.698	26	3 2 1
58.89	1.568	34	2 2 4
70.81	1.331	22	4 2 2